1.
# ScNi2Te
Theoretical X-ray powder pattern, λ = 1.5418 Å (Cu Kα). Input: a DFT-relaxed cell (GGA-PBE, Alexandria).
Intensities are scaled so that the largest is 100.

Main lines, by angle (5° ≤ 2θ ≤ 70°):
2θ = 18.18°, d = 4.880 Å, rel. 18, hkl 0 0 1
2θ = 25.36°, d = 3.512 Å, rel. 26, hkl 1 0 0
2θ = 31.38°, d = 2.851 Å, rel. 100, hkl 1 0 1
2θ = 44.69°, d = 2.028 Å, rel. 72, hkl 1 1 0
2θ = 45.25°, d = 2.004 Å, rel. 79, hkl 1 0 2
2θ = 48.62°, d = 1.873 Å, rel. 9, hkl 1 1 1
2θ = 52.08°, d = 1.756 Å, rel. 4, hkl 2 0 0
2θ = 55.62°, d = 1.652 Å, rel. 19, hkl 2 0 1
2θ = 56.57°, d = 1.627 Å, rel. 1, hkl 0 0 3
2θ = 59.25°, d = 1.560 Å, rel. 1, hkl 1 1 2
2θ = 62.97°, d = 1.476 Å, rel. 13, hkl 1 0 3
2θ = 65.48°, d = 1.425 Å, rel. 25, hkl 2 0 2

Cell and atoms:
abc: 4.0557 4.0557 4.8804
angles: 90.00 90.00 120.00
Space group P-6m2 (No. 187)
Asymmetric unit:
Sc (0.0000, 0.0000, 0.0000)
Ni (0.3333, 0.6667, 0.2534)
Te (0.6667, 0.3333, 0.5000)


2.
# Th2Sc2Ni3
Theoretical X-ray powder pattern, λ = 1.5418 Å (Cu Kα). Input: a DFT-relaxed cell (GGA-PBE, Alexandria).
Intensities are scaled so that the largest is 100.

Main lines, by angle (5° ≤ 2θ ≤ 70°):
2θ = 17.32°, d = 5.121 Å, rel. 82, hkl 0 1 0
2θ = 19.54°, d = 4.543 Å, rel. 65, hkl 0 1 -1
2θ = 26.41°, d = 3.374 Å, rel. 49, hkl 0 0 2
2θ = 27.25°, d = 3.273 Å, rel. 100, hkl 1 1 -1
2θ = 28.76°, d = 3.104 Å, rel. 78, hkl 1 0 1
2θ = 29.08°, d = 3.070 Å, rel. 77, hkl 1 0 -2
2θ = 34.89°, d = 2.572 Å, rel. 84, hkl 0 2 -1
2θ = 35.83°, d = 2.506 Å, rel. 88, hkl 1 1 1
2θ = 36.14°, d = 2.485 Å, rel. 86, hkl -1 1 2
2θ = 40.34°, d = 2.236 Å, rel. 66, hkl 1 -1 2
2θ = 40.71°, d = 2.217 Å, rel. 65, hkl 1 1 -3
2θ = 42.61°, d = 2.122 Å, rel. 70, hkl 2 0 -1

Cell and atoms:
abc: 4.243 5.227 7.187
angles: 101.12 106.55 90.02
Space group P-1 (No. 2)
Asymmetric unit:
Th (0.140, 0.101, 0.276)
Sc (0.384, 0.417, 0.776)
Ni (0.229, 0.643, 0.457)
Ni (0.500, 0.000, 0.000)